Diffraction record for MnAu4. The PXRD pattern is simulated, not measured: it uses a crystal structure in Alexandria, relaxed with GGA-PBE and a wavelength of 1.5418 Å.
Kinematic intensities with the Lorentz-polarization factor, no thermal factor.

Top 10 peaks for 2θ from 5° to 70°, by intensity:
2θ = 37.90°, intensity 100; 2θ = 43.61°, intensity 34; 2θ = 64.40°, intensity 22; 2θ = 44.93°, intensity 15; 2θ = 25.92°, intensity 8; 2θ = 63.30°, intensity 6; 2θ = 63.45°, intensity 5; 2θ = 19.12°, intensity 5; 2θ = 27.17°, intensity 4; 2θ = 55.37°, intensity 2

Structural model:
Unit cell a=5.0582 b=5.0582 c=6.5561 alpha=130.34 beta=130.34 gamma=47.02
Element x y z (fractional)
Mn1 0.0000 0.0000 0.0000
Au1 0.2048 0.2048 0.8064
Au2 0.3985 0.3985 0.6036
Au3 0.6015 0.6015 0.3964
Au4 0.7952 0.7952 0.1936

---

Diffraction record for MnAu7. The PXRD pattern is simulated, not measured: it uses a crystal structure in Alexandria, relaxed with GGA-PBE and a wavelength of 1.5418 Å.
Kinematic intensities with the Lorentz-polarization factor, no thermal factor.

Top 10 peaks for 2θ from 5° to 70°, by intensity:
2θ = 37.67°, intensity 100; 2θ = 43.61°, intensity 33; 2θ = 63.75°, intensity 21; 2θ = 44.08°, intensity 16; 2θ = 63.38°, intensity 11; 2θ = 22.09°, intensity 4; 2θ = 32.39°, intensity 2; 2θ = 10.77°, intensity 2; 2θ = 26.95°, intensity 2; 2θ = 34.82°, intensity 1

Structural model:
Unit cell a=8.7252 b=8.7252 c=8.7252 alpha=152.48 beta=152.48 gamma=39.31
Element x y z (fractional)
Mn1 0.0000 0.0000 0.0000
Au1 0.1213 0.6213 0.5000
Au2 0.2511 0.2511 0.0000
Au3 0.3787 0.8787 0.5000
Au4 0.5000 0.5000 0.0000
Au5 0.6213 0.1213 0.5000
Au6 0.7489 0.7489 0.0000
Au7 0.8787 0.3787 0.5000

---

Diffraction record for MnAu4. The PXRD pattern is simulated, not measured: it uses a crystal structure in Alexandria, relaxed with GGA-PBE and a wavelength of 1.5418 Å.
Kinematic intensities with the Lorentz-polarization factor, no thermal factor.

Top 10 peaks for 2θ from 5° to 70°, by intensity:
2θ = 39.03°, intensity 100; 2θ = 25.45°, intensity 36; 2θ = 35.75°, intensity 32; 2θ = 12.64°, intensity 29; 2θ = 45.25°, intensity 29; 2θ = 44.39°, intensity 25; 2θ = 66.43°, intensity 21; 2θ = 38.58°, intensity 21; 2θ = 65.61°, intensity 15; 2θ = 53.61°, intensity 11

Structural model:
Unit cell a=5.5960 b=7.0006 c=5.0230 alpha=90.00 beta=90.00 gamma=90.00
Element x y z (fractional)
Mn1 0.0000 0.0000 0.0000
Mn2 0.5000 0.0000 0.5000
Au1 0.0000 0.3334 0.2580
Au2 0.0000 0.6666 0.7420
Au3 0.2500 0.2791 0.7500
Au4 0.2500 0.7209 0.2500
Au5 0.5000 0.3334 0.2420
Au6 0.5000 0.6666 0.7580
Au7 0.7500 0.2791 0.7500
Au8 0.7500 0.7209 0.2500

---

Diffraction record for Mn5Au3. The PXRD pattern is simulated, not measured: it uses a crystal structure in Alexandria, relaxed with GGA-PBE and a wavelength of 1.5418 Å.
Kinematic intensities with the Lorentz-polarization factor, no thermal factor.

Top 10 peaks for 2θ from 5° to 70°, by intensity:
2θ = 27.11°, intensity 100; 2θ = 40.39°, intensity 94; 2θ = 41.29°, intensity 92; 2θ = 40.56°, intensity 81; 2θ = 28.48°, intensity 59; 2θ = 48.88°, intensity 56; 2θ = 38.43°, intensity 55; 2θ = 24.60°, intensity 53; 2θ = 38.32°, intensity 46; 2θ = 53.62°, intensity 39

Structural model:
Unit cell a=7.3706 b=7.3706 c=7.7047 alpha=94.91 beta=94.91 gamma=139.09
Element x y z (fractional)
Mn1 0.0952 0.7619 0.8179
Mn2 0.2381 0.9048 0.1821
Mn3 0.2459 0.2459 0.0026
Mn4 0.2867 0.4835 0.6635
Mn5 0.4835 0.2867 0.6635
Mn6 0.5165 0.7133 0.3365
Mn7 0.7133 0.5165 0.3365
Mn8 0.7541 0.7541 0.9974
Mn9 0.7619 0.0952 0.8179
Mn10 0.9048 0.2381 0.1821
Au1 0.1256 0.1256 0.3513
Au2 0.2272 0.7728 0.5000
Au3 0.3309 0.6691 0.0000
Au4 0.6691 0.3309 0.0000
Au5 0.7728 0.2272 0.5000
Au6 0.8744 0.8744 0.6487

---

Diffraction record for MnMoAu. The PXRD pattern is simulated, not measured: it uses a crystal structure in Alexandria, relaxed with GGA-PBE and a wavelength of 1.5418 Å.
Kinematic intensities with the Lorentz-polarization factor, no thermal factor.

Top 10 peaks for 2θ from 5° to 70°, by intensity:
2θ = 39.02°, intensity 100; 2θ = 39.86°, intensity 96; 2θ = 45.22°, intensity 79; 2θ = 25.29°, intensity 45; 2θ = 67.37°, intensity 39; 2θ = 47.14°, intensity 29; 2θ = 59.15°, intensity 23; 2θ = 20.54°, intensity 23; 2θ = 33.73°, intensity 22; 2θ = 64.68°, intensity 11

Structural model:
Unit cell a=4.9354 b=4.9354 c=4.9354 alpha=147.13 beta=134.01 gamma=57.68
Element x y z (fractional)
Mn1 0.0000 0.0000 0.0000
Mo1 0.3525 0.3525 0.0000
Au1 0.6729 0.6729 0.0000

---

Diffraction record for Mn2Ni4Au2N. The PXRD pattern is simulated, not measured: it uses a crystal structure in Alexandria, relaxed with GGA-PBE and a wavelength of 1.5418 Å.
Kinematic intensities with the Lorentz-polarization factor, no thermal factor.

Top 10 peaks for 2θ from 5° to 70°, by intensity:
2θ = 40.88°, intensity 100; 2θ = 47.06°, intensity 35; 2θ = 33.30°, intensity 28; 2θ = 23.03°, intensity 27; 2θ = 69.93°, intensity 20; 2θ = 48.55°, intensity 16; 2θ = 58.87°, intensity 11; 2θ = 32.80°, intensity 11; 2θ = 68.76°, intensity 11; 2θ = 23.73°, intensity 9

Structural model:
Unit cell a=5.3830 b=5.3830 c=5.3830 alpha=119.04 beta=119.04 gamma=91.68
Element x y z (fractional)
Mn1 0.2366 0.2366 0.0000
Mn2 0.7634 0.7634 0.0000
Ni1 0.2463 0.2463 0.4925
Ni2 0.2463 0.7537 0.0000
Ni3 0.7537 0.2463 0.0000
Ni4 0.7537 0.7537 0.5075
Au1 0.2500 0.7500 0.5000
Au2 0.7500 0.2500 0.5000
N1 0.5000 0.5000 0.0000

---

Diffraction record for MnNi2Au4. The PXRD pattern is simulated, not measured: it uses a crystal structure in Alexandria, relaxed with GGA-PBE and a wavelength of 1.5418 Å.
Kinematic intensities with the Lorentz-polarization factor, no thermal factor.

Top 10 peaks for 2θ from 5° to 70°, by intensity:
2θ = 39.01°, intensity 100; 2θ = 21.05°, intensity 88; 2θ = 39.70°, intensity 74; 2θ = 52.18°, intensity 48; 2θ = 47.16°, intensity 46; 2θ = 33.26°, intensity 42; 2θ = 42.86°, intensity 38; 2θ = 65.61°, intensity 34; 2θ = 32.46°, intensity 31; 2θ = 55.31°, intensity 20

Structural model:
Unit cell a=6.8433 b=6.0525 c=5.0414 alpha=75.56 beta=58.93 gamma=45.51
Element x y z (fractional)
Mn1 0.0000 0.0000 0.0000
Ni1 0.3854 0.3854 0.6146
Ni2 0.6146 0.6146 0.3854
Au1 0.0000 0.0000 0.5000
Au2 0.2500 0.2500 0.2500
Au3 0.5000 0.5000 0.0000
Au4 0.7500 0.7500 0.7500

---

Diffraction record for MnNiAu. The PXRD pattern is simulated, not measured: it uses a crystal structure in Alexandria, relaxed with GGA-PBE and a wavelength of 1.5418 Å.
Kinematic intensities with the Lorentz-polarization factor, no thermal factor.

Top 10 peaks for 2θ from 5° to 70°, by intensity:
2θ = 40.95°, intensity 100; 2θ = 43.98°, intensity 40; 2θ = 28.37°, intensity 28; 2θ = 32.39°, intensity 20; 2θ = 20.35°, intensity 20; 2θ = 59.62°, intensity 13; 2θ = 54.40°, intensity 11; 2θ = 46.12°, intensity 11; 2θ = 41.39°, intensity 8; 2θ = 63.88°, intensity 7

Structural model:
Unit cell a=4.8994 b=4.8994 c=4.8994 alpha=145.39 beta=139.73 gamma=54.12
Element x y z (fractional)
Mn1 0.0000 0.0000 0.0000
Ni1 0.6380 0.6380 0.0000
Au1 0.3176 0.3176 0.0000

---

Diffraction record for MnSiNiAu. The PXRD pattern is simulated, not measured: it uses a crystal structure in Alexandria, relaxed with GGA-PBE and a wavelength of 1.5418 Å.
Kinematic intensities with the Lorentz-polarization factor, no thermal factor.

Top 10 peaks for 2θ from 5° to 70°, by intensity:
2θ = 41.84°, intensity 100; 2θ = 12.95°, intensity 66; 2θ = 34.79°, intensity 63; 2θ = 46.10°, intensity 42; 2θ = 62.32°, intensity 19; 2θ = 39.54°, intensity 18; 2θ = 67.25°, intensity 13; 2θ = 48.09°, intensity 12; 2θ = 26.07°, intensity 12; 2θ = 32.15°, intensity 10

Structural model:
Unit cell a=2.7845 b=2.7845 c=6.8369 alpha=90.00 beta=90.00 gamma=90.00
Element x y z (fractional)
Mn1 0.0000 0.0000 0.0000
Si1 0.5000 0.5000 0.7744
Ni1 0.0000 0.0000 0.5859
Au1 0.5000 0.5000 0.2915

---

Diffraction record for Mn4PAu. The PXRD pattern is simulated, not measured: it uses a crystal structure in Alexandria, relaxed with GGA-PBE and a wavelength of 1.5418 Å.
Kinematic intensities with the Lorentz-polarization factor, no thermal factor.

Top 8 peaks for 2θ from 5° to 70°, by intensity:
2θ = 43.93°, intensity 100; 2θ = 37.20°, intensity 47; 2θ = 22.53°, intensity 33; 2θ = 26.07°, intensity 32; 2θ = 45.99°, intensity 25; 2θ = 67.08°, intensity 17; 2θ = 60.58°, intensity 13; 2θ = 58.89°, intensity 9

Structural model:
Unit cell a=4.8335 b=4.8335 c=4.8335 alpha=60.00 beta=60.00 gamma=60.00
Element x y z (fractional)
Mn1 0.3757 0.3757 0.3757
Mn2 0.3757 0.3757 0.8729
Mn3 0.3757 0.8729 0.3757
Mn4 0.8729 0.3757 0.3757
P1 0.7500 0.7500 0.7500
Au1 0.0000 0.0000 0.0000

---

Diffraction record for MnPbAu4. The PXRD pattern is simulated, not measured: it uses a crystal structure in Alexandria, relaxed with GGA-PBE and a wavelength of 1.5418 Å.
Kinematic intensities with the Lorentz-polarization factor, no thermal factor.

Top 10 peaks for 2θ from 5° to 70°, by intensity:
2θ = 37.86°, intensity 100; 2θ = 36.62°, intensity 70; 2θ = 66.75°, intensity 39; 2θ = 31.61°, intensity 27; 2θ = 52.76°, intensity 25; 2θ = 60.52°, intensity 12; 2θ = 45.37°, intensity 8; 2θ = 62.82°, intensity 8; 2θ = 69.18°, intensity 8; 2θ = 46.41°, intensity 6

Structural model:
Unit cell a=3.4704 b=3.4704 c=9.7825 alpha=90.00 beta=90.00 gamma=90.00
Element x y z (fractional)
Mn1 0.0000 0.0000 0.0000
Pb1 0.5000 0.5000 0.5000
Au1 0.0000 0.0000 0.2984
Au2 0.0000 0.0000 0.7016
Au3 0.5000 0.5000 0.1435
Au4 0.5000 0.5000 0.8565

---

Diffraction record for MnPd2Au6. The PXRD pattern is simulated, not measured: it uses a crystal structure in Alexandria, relaxed with GGA-PBE and a wavelength of 1.5418 Å.
Kinematic intensities with the Lorentz-polarization factor, no thermal factor.

Top 10 peaks for 2θ from 5° to 70°, by intensity:
2θ = 40.58°, intensity 100; 2θ = 36.91°, intensity 65; 2θ = 69.02°, intensity 31; 2θ = 53.19°, intensity 23; 2θ = 68.86°, intensity 11; 2θ = 63.97°, intensity 7; 2θ = 25.06°, intensity 6; 2θ = 21.10°, intensity 4; 2θ = 24.44°, intensity 3; 2θ = 23.40°, intensity 3

Structural model:
Unit cell a=4.5062 b=4.5062 c=8.5263 alpha=97.63 beta=97.63 gamma=65.33
Element x y z (fractional)
Mn1 0.0000 0.0000 0.0000
Pd1 0.3323 0.3323 0.5557
Pd2 0.6677 0.6677 0.4443
Au1 0.0000 0.0000 0.3340
Au2 0.0000 0.0000 0.6660
Au3 0.3311 0.3311 0.2257
Au4 0.3338 0.3338 0.8911
Au5 0.6662 0.6662 0.1089
Au6 0.6689 0.6689 0.7743